Record 1
For PrCuP, a cell relaxed with GGA-PBE gives the computed powder diffraction line list in this record (Cu Ka).

Cell and atoms:
```
PrCuP
1.0
4.027 0.000 0.000
-2.013 3.487 0.000
0.000 0.000 4.182
Pr Cu P
1 1 1
direct
0.000 0.000 0.000
0.333 0.667 0.500
0.667 0.333 0.500
```

Main lines, in order of rising 2θ (15° ≤ 2θ ≤ 90°):
d [Å]	intensity
3.487	24.6
2.678	100.0
2.091	12.4
2.013	33.1
1.609	20.9
1.450	22.2
1.295	9.9
1.257	18.0

Record 2
For Pu4TeSe3, a cell relaxed with GGA-PBE gives the computed powder diffraction line list in this record (Cu Ka).

Cell and atoms:
```
Pu4TeSe3
1.0
4.170 0.000 0.000
-2.085 3.611 0.000
0.000 0.000 28.138
Pu Te Se
8 2 6
direct
0.000 0.000 0.178
0.000 0.000 0.322
0.000 0.000 0.678
0.000 0.000 0.822
0.333 0.667 0.060
0.333 0.667 0.440
0.667 0.333 0.560
0.667 0.333 0.940
0.333 0.667 0.250
0.667 0.333 0.750
0.000 0.000 0.000
0.000 0.000 0.500
0.333 0.667 0.620
0.333 0.667 0.880
0.667 0.333 0.120
0.667 0.333 0.380
```

Main lines, in order of rising 2θ (15° ≤ 2θ ≤ 90°):
d [Å]	intensity
3.498	32.5
3.039	72.7
2.861	100.0
2.086	90.7
1.685	21.5
1.344	25.1
1.311	22.4
1.204	20.2

Record 3
For Ba2SiMoOs, a cell relaxed with GGA-PBE gives the computed powder diffraction line list in this record (Cu Ka).

Cell and atoms:
```
Ba2SiMoOs
1.0
6.148 0.000 0.000
0.000 6.148 0.000
0.000 0.000 4.702
Ba Si Mo Os
2 1 1 1
direct
0.000 0.500 0.000
0.500 0.000 0.000
0.000 0.000 0.500
0.500 0.500 0.500
0.500 0.500 0.000
```

Main lines, in order of rising 2θ (15° ≤ 2θ ≤ 90°):
d [Å]	intensity
4.702	43.4
3.192	28.3
3.074	100.0
2.750	29.0
2.573	38.5
2.174	37.6
1.868	47.1
1.596	28.4

Record 4
For Ca3In2Ag6, a cell relaxed with GGA-PBE gives the computed powder diffraction line list in this record (Cu Ka).

Cell and atoms:
```
Ca3In2Ag6
1.0
-5.061 5.061 5.061
5.061 -5.061 5.061
5.061 5.061 -5.061
Ca In Ag
6 4 12
direct
0.000 0.278 0.278
0.000 0.722 0.722
0.278 0.000 0.278
0.278 0.278 0.000
0.722 0.000 0.722
0.722 0.722 0.000
0.000 0.000 0.500
0.000 0.500 0.000
0.500 0.000 0.000
0.500 0.500 0.500
0.000 0.342 0.658
0.000 0.658 0.342
0.316 0.658 0.658
0.342 0.000 0.658
0.342 0.342 0.684
0.342 0.658 0.000
0.342 0.684 0.342
0.658 0.000 0.342
0.658 0.316 0.658
0.658 0.342 0.000
0.658 0.658 0.316
0.684 0.342 0.342
```

Main lines, in order of rising 2θ (15° ≤ 2θ ≤ 90°):
d [Å]	intensity
4.132	15.2
2.705	29.5
2.386	100.0
2.263	36.3
2.066	22.7
1.526	14.9
1.377	24.8
1.193	12.5

Record 5
For RbHg2AsIr, a cell relaxed with GGA-PBE gives the computed powder diffraction line list in this record (Cu Ka).

Cell and atoms:
```
RbHg2AsIr
1.0
5.443 0.000 0.000
0.000 5.443 0.000
0.000 0.000 4.778
Rb Hg As Ir
1 2 1 1
direct
0.000 0.000 0.000
0.000 0.500 0.500
0.500 0.000 0.500
0.500 0.500 0.000
0.500 0.500 0.500
```

Main lines, in order of rising 2θ (15° ≤ 2θ ≤ 90°):
d [Å]	intensity
4.778	62.1
2.997	64.6
2.721	100.0
2.389	34.9
2.365	43.5
1.924	36.8
1.795	59.3
1.499	33.0

Record 6
For NbN3F12, a cell relaxed with GGA-PBE gives the computed powder diffraction line list in this record (Cu Ka).

Cell and atoms:
```
NbN3F12
1.0
3.257 -6.747 0.000
3.257 6.747 0.000
-1.633 0.000 6.063
Nb N F
1 3 12
direct
0.000 0.000 0.000
0.000 0.000 0.500
0.000 0.500 0.000
0.500 0.000 0.000
0.066 0.894 0.703
0.106 0.934 0.297
0.108 0.571 0.793
0.156 0.338 0.051
0.338 0.156 0.051
0.429 0.892 0.207
0.571 0.108 0.793
0.662 0.844 0.949
0.844 0.662 0.949
0.892 0.429 0.207
0.894 0.066 0.703
0.934 0.106 0.297
```

Main lines, in order of rising 2θ (15° ≤ 2θ ≤ 90°):
d [Å]	intensity
5.701	100.0
4.749	13.8
3.658	15.9
3.368	15.1
2.850	17.1
2.027	13.5
1.830	14.0
1.683	14.3

Record 7
For La3Y12Ho, a cell relaxed with GGA-PBE gives the computed powder diffraction line list in this record (Cu Ka).

Cell and atoms:
```
La3Y12Ho
1.0
5.108 0.000 0.000
0.000 5.108 0.000
0.000 0.000 20.460
La Y Ho
3 12 1
direct
0.000 0.000 0.000
0.000 0.000 0.251
0.000 0.000 0.749
0.000 0.500 0.126
0.000 0.500 0.378
0.000 0.500 0.622
0.000 0.500 0.874
0.500 0.000 0.126
0.500 0.000 0.378
0.500 0.000 0.622
0.500 0.000 0.874
0.500 0.500 0.000
0.500 0.500 0.252
0.500 0.500 0.500
0.500 0.500 0.748
0.000 0.000 0.500
```

Main lines, in order of rising 2θ (15° ≤ 2θ ≤ 90°):
d [Å]	intensity
2.950	100.0
2.555	50.2
1.807	34.9
1.541	41.0
1.475	11.8
1.172	16.3
1.143	10.0
1.142	5.1

Record 8
For Pm3PrTm4, a cell relaxed with GGA-PBE gives the computed powder diffraction line list in this record (Cu Ka).

Cell and atoms:
```
Pm3PrTm4
1.0
6.204 0.000 0.000
0.000 3.589 0.000
-2.083 0.000 11.562
Pm Pr Tm
3 1 4
direct
0.000 0.000 0.000
0.000 0.500 0.500
0.500 0.000 0.500
0.500 0.500 0.000
0.250 0.000 0.749
0.250 0.500 0.251
0.750 0.000 0.251
0.750 0.500 0.749
```

Main lines, in order of rising 2θ (15° ≤ 2θ ≤ 90°):
d [Å]	intensity
2.923	100.0
2.891	32.3
2.524	67.0
1.793	24.2
1.778	23.6
1.525	14.3
1.523	19.0
1.514	13.9

Record 9
For Ba6Na2RhAu, a cell relaxed with GGA-PBE gives the computed powder diffraction line list in this record (Cu Ka).

Cell and atoms:
```
Ba6Na2RhAu
1.0
0.000 6.362 6.362
6.362 0.000 6.362
6.362 6.362 0.000
Ba Na Rh Au
6 2 1 1
direct
0.242 0.242 0.758
0.242 0.758 0.242
0.242 0.758 0.758
0.758 0.242 0.242
0.758 0.242 0.758
0.758 0.758 0.242
0.250 0.250 0.250
0.750 0.750 0.750
0.000 0.000 0.000
0.500 0.500 0.500
```

Main lines, in order of rising 2θ (15° ≤ 2θ ≤ 90°):
d [Å]	intensity
3.673	42.3
3.181	100.0
2.845	60.6
2.249	75.5
2.121	32.8
1.837	26.7
1.423	34.1
1.299	25.0

Record 10
For Tb3Sm8Y3, a cell relaxed with GGA-PBE gives the computed powder diffraction line list in this record (Cu Ka).

Cell and atoms:
```
Tb3Sm8Y3
1.0
-2.839 5.463 7.548
2.839 -5.463 7.548
2.839 5.463 -7.548
Tb Sm Y
3 8 3
direct
0.000 0.000 0.000
0.182 0.682 0.500
0.818 0.318 0.500
0.118 0.276 0.842
0.235 0.896 0.339
0.434 0.276 0.158
0.443 0.104 0.339
0.557 0.896 0.661
0.566 0.724 0.842
0.765 0.104 0.661
0.882 0.724 0.158
0.198 0.500 0.698
0.500 0.500 0.000
0.802 0.500 0.302
```

Main lines, in order of rising 2θ (15° ≤ 2θ ≤ 90°):
d [Å]	intensity
3.540	12.4
3.101	11.8
3.021	25.9
2.950	16.2
2.840	100.0
2.666	31.0
2.046	11.4
1.639	13.6

Record 11
For LaNpClO4, a cell relaxed with GGA-PBE gives the computed powder diffraction line list in this record (Cu Ka).

Cell and atoms:
```
LaNpClO4
1.0
6.317 -3.580 0.000
6.317 3.580 0.000
-0.529 0.000 6.418
La Np Cl O
2 2 2 8
direct
0.184 0.184 0.438
0.816 0.816 0.562
0.368 0.368 0.904
0.632 0.632 0.096
0.036 0.036 0.756
0.964 0.964 0.244
0.116 0.489 0.686
0.253 0.253 0.066
0.489 0.116 0.686
0.497 0.497 0.203
0.503 0.503 0.797
0.511 0.884 0.314
0.747 0.747 0.934
0.884 0.511 0.314
```

Main lines, in order of rising 2θ (15° ≤ 2θ ≤ 90°):
d [Å]	intensity
4.691	52.5
4.561	100.0
3.580	81.8
3.062	92.2
2.901	37.0
2.190	28.1
1.984	26.2
1.951	30.8

Record 12
For CaH6Pd7, a cell relaxed with GGA-PBE gives the computed powder diffraction line list in this record (Cu Ka).

Cell and atoms:
```
CaH6Pd7
1.0
2.534 1.463 7.218
-2.534 1.463 7.218
0.000 -2.926 7.218
Ca H Pd
1 6 7
direct
0.000 0.000 0.000
0.084 0.736 0.419
0.258 0.581 0.919
0.419 0.084 0.736
0.581 0.919 0.258
0.736 0.419 0.084
0.919 0.258 0.581
0.110 0.447 0.779
0.223 0.888 0.552
0.447 0.779 0.110
0.552 0.223 0.888
0.666 0.666 0.666
0.779 0.110 0.447
0.888 0.552 0.223
```

Main lines, in order of rising 2θ (15° ≤ 2θ ≤ 90°):
d [Å]	intensity
2.406	33.1
2.391	100.0
2.074	68.4
1.470	21.0
1.463	21.0
1.254	13.0
1.250	23.6
1.248	12.2

Record 13
For Pm4Pd5Au3, a cell relaxed with GGA-PBE gives the computed powder diffraction line list in this record (Cu Ka).

Cell and atoms:
```
Pm4Pd5Au3
1.0
6.965 -2.464 0.000
6.965 2.464 0.000
-5.388 0.000 8.102
Pm Pd Au
4 5 3
direct
0.040 0.040 0.313
0.255 0.255 0.754
0.745 0.745 0.246
0.960 0.960 0.687
0.000 0.000 0.000
0.304 0.304 0.490
0.424 0.424 0.339
0.576 0.576 0.661
0.696 0.696 0.510
0.211 0.211 0.032
0.500 0.500 0.000
0.789 0.789 0.968
```

Main lines, in order of rising 2θ (15° ≤ 2θ ≤ 90°):
d [Å]	intensity
3.189	71.8
2.900	46.6
2.700	36.7
2.681	61.8
2.579	33.3
2.510	100.0
2.464	98.6
2.311	64.9